Starting from a structure optimized by DFT (PBE), the powder diffraction line list of MgSiHg2S4 was calculated for a wavelength of 1.5418 Å.
Lines closer than 0.1° are merged.

Structural model:
```
MgSiHg2S4
1.0
4.6683 -4.4600 0.0000
4.6683 4.4600 0.0000
-4.6652 0.0000 4.6695
Mg Si Hg S
1 1 2 4
direct
0.0000 0.0000 0.0000
0.7504 0.2496 0.5000
0.2504 0.7496 0.5000
0.5010 0.4990 0.0000
0.0627 0.3022 0.4803
0.4186 0.1780 0.1160
0.6978 0.9373 0.5197
0.8220 0.5814 0.8840
```

Top 10 peaks for 10° ≤ 2θ ≤ 90°, sorted by position:
| two_theta | d/Å | I/Imax |
| --- | --- | --- |
| 16.71 | 5.307 | 65.5 |
| 27.01 | 3.301 | 29.8 |
| 27.66 | 3.225 | 100.0 |
| 31.92 | 2.803 | 47.1 |
| 33.04 | 2.711 | 21.7 |
| 38.57 | 2.334 | 26.2 |
| 42.30 | 2.137 | 14.0 |
| 43.18 | 2.095 | 14.7 |
| 48.12 | 1.891 | 43.0 |
| 49.31 | 1.848 | 28.1 |